Th3U: theoretical PXRD pattern (Cu Kα), based on a structure optimized by DFT (GGA-PBE).

Main lines, low angle first (2θ = 10–80°):
2θ = 31.46°, rel. 100, hkl 1 1 1
2θ = 36.48°, rel. 51, hkl 2 0 0
2θ = 52.55°, rel. 37, hkl 2 2 0
2θ = 62.54°, rel. 44, hkl 3 1 1
2θ = 65.66°, rel. 13, hkl 2 2 2
2θ = 77.51°, rel. 6, hkl 4 0 0

Cell and atoms:
```
data_Th3U
_chemical_formula_sum 'Th3 U1'
_symmetry_space_group_name_H-M 'P m -3 m'
_symmetry_Int_Tables_number 221
_symmetry_space_group_name_Hall '-P 4 2 3'
_cell_length_a 4.926
_cell_length_b 4.926
_cell_length_c 4.926
_cell_angle_alpha 90.00
_cell_angle_beta 90.00
_cell_angle_gamma 90.00
loop_
_atom_site_label
_atom_site_fract_x
_atom_site_fract_y
_atom_site_fract_z
Th1 0.000 0.000 0.500
U1 0.500 0.500 0.500
```